Structure and theoretical powder XRD pattern of NiC2O6 (DFT lattice parameters and positions (GGA+U); Cu Kα (weighted mean of Kα1 and Kα2)).
Kinematic intensities with the Lorentz-polarization factor, no thermal factor.

Main lines, low angle first (2θ from 10° to 90°):
- 19.29°, I 76, (2 0 0)
- 19.41°, I 100, (2 0 -2)
- 22.01°, I 25, (0 0 2)
- 24.93°, I 34, (1 1 1)
- 32.12°, I 31, (4 0 -2)
- 33.54°, I 29, (1 1 -3)
- 43.55°, I 16, (1 1 3)
- 48.32°, I 15, (0 2 3)

Cell and atoms:
a = 11.149 Å, b = 5.272 Å, c = 9.784 Å
α = 90.00°, β = 124.37°, γ = 90.00°
Space group C2/c (No. 15)
Symmetry-distinct sites (fractional):
Ni 0.000 0.173 0.250 x4
C 0.048 0.327 0.847 x8
O 0.082 0.114 0.918 x8
O 0.083 0.459 0.418 x8
O 0.158 0.174 0.250 x8


Structure and theoretical powder XRD pattern of NiC2O6 (DFT lattice parameters and positions (GGA+U); Cu Kα (weighted mean of Kα1 and Kα2)).
Kinematic intensities with the Lorentz-polarization factor, no thermal factor.

Main lines, low angle first (2θ from 10° to 90°):
- 18.76°, I 34, (0 0 4)
- 18.92°, I 100, (0 2 2)
- 21.53°, I 37, (1 1 3)
- 24.89°, I 41, (1 1 4)
- 28.66°, I 37, (1 1 5)
- 29.84°, I 30, (2 0 2)
- 32.75°, I 30, (1 1 6)
- 33.21°, I 26, (0 4 0)

Cell and atoms:
a = 6.310 Å, b = 10.790 Å, c = 18.981 Å
α = 90.00°, β = 90.00°, γ = 90.00°
Space group Cccm (No. 66)
Symmetry-distinct sites (fractional):
Ni 0.000 0.000 0.250 x4
Ni 0.250 0.250 0.000 x4
C 0.000 0.500 0.160 x8
C 0.250 0.250 0.410 x8
O 0.000 0.162 0.250 x8
O 0.064 0.252 0.410 x16
O 0.186 0.498 0.340 x16
O 0.240 0.412 0.000 x8